Computed powder diffraction line list of HfCuSiAs for Cu Kα X-rays, from a DFT-relaxed cell (PBE, the Materials Project).

Structural model:
a = 3.655 Å, b = 3.655 Å, c = 9.571 Å
α = 90.00°, β = 90.00°, γ = 90.00°
Fractional positions:
Hf: 0.250 0.250 0.220
Hf: 0.750 0.750 0.780
Cu: 0.250 0.750 0.500
Cu: 0.750 0.250 0.500
Si: 0.250 0.750 0.000
Si: 0.750 0.250 0.000
As: 0.250 0.250 0.681
As: 0.750 0.750 0.319

Principal peaks in the range 2θ from 15° to 90°, low angle first:
Position (°2θ)	I/Imax
18.54	22
26.10	32
30.78	31
34.71	18
37.42	20
39.64	100
45.30	27
49.91	32
69.67	15
86.67	21

Computed powder diffraction line list of Cu6Hg3As4S12 for Cu Kα X-rays, from a DFT-relaxed cell (PBE, the Materials Project).

Structural model:
a = 8.622 Å, b = 8.622 Å, c = 8.622 Å
α = 107.51°, β = 107.51°, γ = 107.51°
Fractional positions:
Cu: 0.106 0.631 0.263
Cu: 0.149 0.890 0.942
Cu: 0.263 0.106 0.631
Cu: 0.631 0.263 0.106
Cu: 0.890 0.942 0.149
Cu: 0.942 0.149 0.890
Hg: 0.034 0.418 0.562
Hg: 0.418 0.562 0.034
Hg: 0.562 0.034 0.418
As: 0.357 0.357 0.357
As: 0.507 0.793 0.729
As: 0.729 0.507 0.793
As: 0.793 0.729 0.507
S: 0.049 0.982 0.726
S: 0.131 0.181 0.407
S: 0.181 0.407 0.131
S: 0.293 0.713 0.837
S: 0.339 0.874 0.522
S: 0.407 0.131 0.181
S: 0.522 0.339 0.874
S: 0.713 0.837 0.293
S: 0.726 0.049 0.982
S: 0.837 0.293 0.713
S: 0.874 0.522 0.339
S: 0.982 0.726 0.049

Principal peaks in the range 2θ from 15° to 90°, low angle first:
Position (°2θ)	I/Imax
17.48	11
28.36	100
32.87	24
34.11	6
47.17	50
55.93	28
56.02	10
68.91	7
76.09	10
87.70	6

Computed powder diffraction line list of K2CuAs for Cu Kα X-rays, from a DFT-relaxed cell (PBE, the Materials Project).

Structural model:
a = 6.329 Å, b = 6.329 Å, c = 5.931 Å
α = 90.00°, β = 90.00°, γ = 73.94°
Fractional positions:
K: 0.022 0.317 0.250
K: 0.317 0.022 0.750
K: 0.683 0.978 0.250
K: 0.978 0.683 0.750
Cu: 0.500 0.500 0.000
Cu: 0.500 0.500 0.500
As: 0.260 0.740 0.250
As: 0.740 0.260 0.750

Principal peaks in the range 2θ from 15° to 90°, low angle first:
Position (°2θ)	I/Imax
17.54	60
20.92	31
27.85	30
28.97	52
32.74	100
33.62	36
38.48	45
39.64	23
42.58	42
54.85	26

Computed powder diffraction line list of K5CuAs2 for Cu Kα X-rays, from a DFT-relaxed cell (PBE, the Materials Project).

Structural model:
a = 5.787 Å, b = 5.787 Å, c = 18.950 Å
α = 90.00°, β = 90.00°, γ = 120.00°
Fractional positions:
K: 0.000 0.000 0.145
K: 0.000 0.000 0.355
K: 0.000 0.000 0.645
K: 0.000 0.000 0.855
K: 0.333 0.667 0.049
K: 0.333 0.667 0.250
K: 0.333 0.667 0.451
K: 0.667 0.333 0.549
K: 0.667 0.333 0.750
K: 0.667 0.333 0.951
Cu: 0.333 0.667 0.750
Cu: 0.667 0.333 0.250
As: 0.333 0.667 0.627
As: 0.333 0.667 0.873
As: 0.667 0.333 0.127
As: 0.667 0.333 0.373

Principal peaks in the range 2θ from 15° to 90°, low angle first:
Position (°2θ)	I/Imax
17.70	18
18.31	37
29.55	26
30.90	100
33.54	12
37.77	18
49.74	16
54.96	17
58.19	12
64.40	10

Computed powder diffraction line list of La4Cu5As8 for Cu Kα X-rays, from a DFT-relaxed cell (PBE, the Materials Project).

Structural model:
a = 5.813 Å, b = 10.628 Å, c = 10.628 Å
α = 31.73°, β = 90.00°, γ = 90.00°
Fractional positions:
La: 0.000 0.000 0.000
La: 0.000 0.243 0.243
La: 0.500 0.499 0.499
La: 0.500 0.744 0.744
Cu: 0.000 0.685 0.685
Cu: 0.256 0.128 0.617
Cu: 0.256 0.617 0.128
Cu: 0.744 0.128 0.617
Cu: 0.744 0.617 0.128
As: 0.000 0.445 0.445
As: 0.000 0.805 0.805
As: 0.265 0.358 0.883
As: 0.265 0.883 0.358
As: 0.500 0.297 0.297
As: 0.500 0.945 0.945
As: 0.735 0.358 0.883
As: 0.735 0.883 0.358

Principal peaks in the range 2θ from 15° to 90°, low angle first:
Position (°2θ)	I/Imax
30.84	47
35.11	11
35.53	100
44.07	42
45.63	19
54.76	16
63.27	12
64.09	13
65.30	13
75.48	20

Computed powder diffraction line list of La2Mn3Cu9As7 for Cu Kα X-rays, from a DFT-relaxed cell (PBE, the Materials Project).

Structural model:
a = 9.910 Å, b = 9.910 Å, c = 4.033 Å
α = 90.00°, β = 90.00°, γ = 120.00°
Fractional positions:
La: 0.000 0.000 0.000
La: 0.333 0.667 0.500
Mn: 0.446 0.212 0.000
Mn: 0.766 0.554 0.000
Mn: 0.788 0.234 0.000
Cu: 0.038 0.283 0.500
Cu: 0.089 0.709 0.000
Cu: 0.245 0.962 0.500
Cu: 0.291 0.380 0.000
Cu: 0.507 0.456 0.500
Cu: 0.544 0.051 0.500
Cu: 0.620 0.911 0.000
Cu: 0.717 0.755 0.500
Cu: 0.949 0.493 0.500
As: 0.079 0.449 0.000
As: 0.251 0.215 0.500
As: 0.370 0.921 0.000
As: 0.551 0.630 0.000
As: 0.667 0.333 0.500
As: 0.785 0.035 0.500
As: 0.965 0.749 0.500

Principal peaks in the range 2θ from 15° to 90°, low angle first:
Position (°2θ)	I/Imax
30.41	11
31.27	14
35.51	100
38.58	11
42.11	11
44.18	22
44.95	27
48.61	25
51.66	16
68.35	17

Repeat the fifth record exactly.
Computed powder diffraction line list of La4Cu5As8 for Cu Kα X-rays, from a DFT-relaxed cell (PBE, the Materials Project).

Structural model:
a = 5.813 Å, b = 10.628 Å, c = 10.628 Å
α = 31.73°, β = 90.00°, γ = 90.00°
Fractional positions:
La: 0.000 0.000 0.000
La: 0.000 0.243 0.243
La: 0.500 0.499 0.499
La: 0.500 0.744 0.744
Cu: 0.000 0.685 0.685
Cu: 0.256 0.128 0.617
Cu: 0.256 0.617 0.128
Cu: 0.744 0.128 0.617
Cu: 0.744 0.617 0.128
As: 0.000 0.445 0.445
As: 0.000 0.805 0.805
As: 0.265 0.358 0.883
As: 0.265 0.883 0.358
As: 0.500 0.297 0.297
As: 0.500 0.945 0.945
As: 0.735 0.358 0.883
As: 0.735 0.883 0.358

Principal peaks in the range 2θ from 15° to 90°, low angle first:
Position (°2θ)	I/Imax
30.84	47
35.11	11
35.53	100
44.07	42
45.63	19
54.76	16
63.27	12
64.09	13
65.30	13
75.48	20